Record 1
# Ti5Ge5Pd
Computed powder XRD pattern, copper Kα. Input: a crystal structure in Alexandria, relaxed with GGA-PBE.

```
data_Ti5Ge5Pd
_space_group_name_H-M_alt 'C 1 2/m 1'
_space_group_IT_number 12
_space_group_name_Hall '-C 2y'
_cell_length_a 9.927
_cell_length_b 5.193
_cell_length_c 8.528
_cell_angle_alpha 90.00
_cell_angle_beta 116.63
_cell_angle_gamma 90.00
loop_
_atom_site_label
_atom_site_fract_x
_atom_site_fract_y
_atom_site_fract_z
Ti1 0.000 0.000 0.000
Ti2 0.162 0.500 0.314
Ti3 0.168 0.500 0.849
Ge1 0.000 0.500 0.500
Ge2 0.153 0.000 0.825
Ge3 0.175 0.000 0.341
Pd1 0.000 0.000 0.500
```

Peak list (10 most intense, 2θ = 10–90°, sorted by position)
Position (°2θ)  I/Imax
11.61  42.8
19.81  29.5
34.54  100.0
36.61  83.3
37.36  76.8
42.41  53.1
51.22  61.1
51.79  57.6
55.80  46.5
88.06  23.8


Record 2
# La4Y2H
Computed powder XRD pattern, copper Kα. Input: a crystal structure in Alexandria, relaxed with GGA-PBE.

```
data_La4Y2H
_space_group_name_H-M_alt 'I 4/m m m'
_space_group_IT_number 139
_space_group_name_Hall '-I 4 2'
_cell_length_a 5.069
_cell_length_b 5.069
_cell_length_c 17.620
_cell_angle_alpha 90.00
_cell_angle_beta 90.00
_cell_angle_gamma 90.00
loop_
_atom_site_label
_atom_site_fract_x
_atom_site_fract_y
_atom_site_fract_z
La1 0.000 0.000 0.156
La2 0.000 0.500 0.000
Y1 0.000 0.000 0.360
H1 0.000 0.000 0.000
```

Peak list (10 most intense, 2θ = 10–90°, sorted by position)
Position (°2θ)  I/Imax
10.04  18.0
26.85  65.5
30.44  27.4
32.20  100.0
35.42  50.6
47.38  31.9
50.96  17.8
58.36  20.1
61.57  30.5
81.11  15.4


Record 3
# Cs2HoMnS4
Computed powder XRD pattern, copper Kα. Input: a crystal structure in Alexandria, relaxed with GGA-PBE.

```
data_Cs2HoMnS4
_space_group_name_H-M_alt 'F d d d'
_space_group_IT_number 70
_cell_length_a 6.358
_cell_length_b 14.946
_cell_length_c 25.312
_cell_angle_alpha 90.00
_cell_angle_beta 90.00
_cell_angle_gamma 90.00
loop_
_space_group_symop_operation_xyz
'x,y,z'
'-x,-y,-z'
'-x+1/4,-y+1/4,z'
'x+1/4,y+1/4,-z'
'x,-y+1/4,-z+1/4'
'-x,y+1/4,z+1/4'
'-x+1/4,y,-z+1/4'
'x+1/4,-y,z+1/4'
'x,y+1/2,z+1/2'
'-x,-y+1/2,-z+1/2'
'-x+1/4,-y+3/4,z+1/2'
'x+1/4,y+3/4,-z+1/2'
'x,-y+3/4,-z+3/4'
'-x,y+3/4,z+3/4'
'-x+1/4,y+1/2,-z+3/4'
'x+1/4,-y+1/2,z+3/4'
'x+1/2,y,z+1/2'
'-x+1/2,-y,-z+1/2'
'-x+3/4,-y+1/4,z+1/2'
'x+3/4,y+1/4,-z+1/2'
'x+1/2,-y+1/4,-z+3/4'
'-x+1/2,y+1/4,z+3/4'
'-x+3/4,y,-z+3/4'
'x+3/4,-y,z+3/4'
'x+1/2,y+1/2,z'
'-x+1/2,-y+1/2,-z'
'-x+3/4,-y+3/4,z'
'x+3/4,y+3/4,-z'
'x+1/2,-y+3/4,-z+1/4'
'-x+1/2,y+3/4,z+1/4'
'-x+3/4,y+1/2,-z+1/4'
'x+3/4,-y+1/2,z+1/4'
loop_
_atom_site_label
_atom_site_fract_x
_atom_site_fract_y
_atom_site_fract_z
Cs1 0.125 0.125 0.306
Ho1 0.125 0.125 0.125
Mn1 0.125 0.125 0.625
S1 0.094 0.277 0.832
```

Peak list (10 most intense, 2θ = 10–90°, sorted by position)
Position (°2θ)  I/Imax
14.00  56.7
15.55  40.9
22.95  39.1
23.24  32.3
23.81  36.9
24.23  100.0
28.80  67.5
30.56  55.1
35.36  41.1
43.08  41.9


Record 4
# Rb4TbU3S12
Computed powder XRD pattern, copper Kα. Input: a crystal structure in Alexandria, relaxed with GGA-PBE.

```
data_Rb4TbU3S12
_space_group_name_H-M_alt 'I m -3 m'
_space_group_IT_number 229
_space_group_name_Hall '-I 4 2 3'
_cell_length_a 10.450
_cell_length_b 10.450
_cell_length_c 10.450
_cell_angle_alpha 90.00
_cell_angle_beta 90.00
_cell_angle_gamma 90.00
loop_
_atom_site_label
_atom_site_fract_x
_atom_site_fract_y
_atom_site_fract_z
Rb1 0.250 0.250 0.250
Tb1 0.000 0.000 0.000
U1 0.000 0.000 0.500
S1 0.000 0.000 0.260
S2 0.000 0.250 0.500
```

Peak list (10 most intense, 2θ = 10–90°, sorted by position)
Position (°2θ)  I/Imax
16.97  40.7
24.09  100.0
34.33  46.5
38.53  21.2
42.37  46.7
49.33  32.4
55.63  21.7
67.02  25.2
77.51  12.7
82.58  15.0


Record 5
# Li6Tl2Zn3
Computed powder XRD pattern, copper Kα. Input: a crystal structure in Alexandria, relaxed with GGA-PBE.

```
data_Li6Tl2Zn3
_space_group_name_H-M_alt 'C m m m'
_space_group_IT_number 65
_space_group_name_Hall '-C 2 2'
_cell_length_a 10.567
_cell_length_b 12.304
_cell_length_c 3.337
_cell_angle_alpha 90.00
_cell_angle_beta 90.00
_cell_angle_gamma 90.00
loop_
_atom_site_label
_atom_site_fract_x
_atom_site_fract_y
_atom_site_fract_z
Li1 0.131 0.000 0.000
Li2 0.145 0.318 0.000
Tl1 0.000 0.162 0.500
Zn1 0.000 0.500 0.000
Zn2 0.182 0.500 0.500
```

Peak list (10 most intense, 2θ = 10–90°, sorted by position)
Position (°2θ)  I/Imax
16.78  55.8
23.27  100.0
26.32  21.7
26.71  26.5
28.98  21.8
34.99  33.1
35.71  42.4
37.85  38.9
43.53  24.6
48.46  19.7


Record 6
# Tb4PmPr7
Computed powder XRD pattern, copper Kα. Input: a crystal structure in Alexandria, relaxed with GGA-PBE.

```
data_Tb4PmPr7
_space_group_name_H-M_alt 'P -1'
_space_group_IT_number 2
_space_group_name_Hall '-P 1'
_cell_length_a 6.341
_cell_length_b 7.315
_cell_length_c 9.667
_cell_angle_alpha 79.15
_cell_angle_beta 71.03
_cell_angle_gamma 90.00
loop_
_atom_site_label
_atom_site_fract_x
_atom_site_fract_y
_atom_site_fract_z
Tb1 0.166 0.167 0.334
Tb2 0.334 0.584 0.665
Pm1 0.500 0.000 0.000
Pr1 0.000 0.250 0.001
Pr2 0.167 0.666 0.335
Pr3 0.334 0.083 0.665
Pr4 0.500 0.500 0.000
```

Peak list (10 most intense, 2θ = 10–90°, sorted by position)
Position (°2θ)  I/Imax
29.91  100.0
34.65  33.9
34.72  16.9
49.83  30.3
59.16  18.1
59.28  25.2
62.12  6.2
62.17  6.2
80.98  13.2
83.59  6.8